Diffraction record for SrZnCuSi2. The powder diffractogram is computed, not measured: it uses a cell relaxed with GGA-PBE and Cu Ka.

Crystal structure
Unit cell a=4.2279 b=4.2279 c=10.2578 alpha=90.00 beta=90.00 gamma=90.00
Atoms (fractional coordinates):
Sr1 0.0000 0.0000 0.0000
Sr2 0.5000 0.5000 0.5000
Zn1 0.0000 0.5000 0.2500
Zn2 0.5000 0.0000 0.7500
Cu1 0.0000 0.5000 0.7500
Cu2 0.5000 0.0000 0.2500
Si1 0.0000 0.0000 0.3819
Si2 0.0000 0.0000 0.6181
Si3 0.5000 0.5000 0.1181
Si4 0.5000 0.5000 0.8819

Most intense lines, 2θ from 10° to 80°, by angle:
33.71°, I = 30, (1 0 3)
34.73°, I = 100, (1 1 2)
42.78°, I = 41, (2 0 0)
55.54°, I = 14, (2 1 3)
62.59°, I = 14, (1 1 6)
73.15°, I = 21, (3 1 2)

***

Diffraction record for Hf3PdRh2. The powder diffractogram is computed, not measured: it uses a cell relaxed with GGA-PBE and Cu Ka.

Crystal structure
Unit cell a=4.6857 b=14.0198 c=3.2433 alpha=90.00 beta=90.00 gamma=90.00
Atoms (fractional coordinates):
Hf1 0.2500 0.0806 0.9998
Hf2 0.2500 0.4194 0.9998
Hf3 0.2500 0.7500 0.0007
Hf4 0.7500 0.2500 0.9993
Hf5 0.7500 0.5806 0.0002
Hf6 0.7500 0.9194 0.0002
Pd1 0.2500 0.2500 0.4987
Pd2 0.7500 0.7500 0.5013
Rh1 0.2500 0.5832 0.4998
Rh2 0.2500 0.9168 0.4998
Rh3 0.7500 0.0832 0.5002
Rh4 0.7500 0.4168 0.5002

Most intense lines, 2θ from 10° to 80°, by angle:
38.42°, I = 26, (2 0 0)
38.53°, I = 26, (0 6 0)
38.88°, I = 100, (1 3 1)
55.55°, I = 18, (2 6 0)
69.80°, I = 18, (3 3 1)
69.94°, I = 18, (1 9 1)

***

Diffraction record for Tb5PmCd3. The powder diffractogram is computed, not measured: it uses a cell relaxed with GGA-PBE and Cu Ka.

Crystal structure
Unit cell a=9.2411 b=9.2411 c=6.9976 alpha=90.00 beta=90.00 gamma=120.00
Atoms (fractional coordinates):
Tb1 0.0000 0.3324 0.2500
Tb2 0.0000 0.6676 0.7500
Tb3 0.3324 0.0000 0.2500
Tb4 0.3324 0.3324 0.7500
Tb5 0.3333 0.6667 0.0000
Tb6 0.3333 0.6667 0.5000
Tb7 0.6667 0.3333 0.0000
Tb8 0.6667 0.3333 0.5000
Tb9 0.6676 0.0000 0.7500
Tb10 0.6676 0.6676 0.2500
Pm1 0.0000 0.0000 0.0000
Pm2 0.0000 0.0000 0.5000
Cd1 0.0000 0.3368 0.7500
Cd2 0.0000 0.6632 0.2500
Cd3 0.3368 0.0000 0.7500
Cd4 0.3368 0.3368 0.2500
Cd5 0.6632 0.0000 0.2500
Cd6 0.6632 0.6632 0.7500

Most intense lines, 2θ from 10° to 80°, by angle:
32.09°, I = 100, (1 1 2)
33.59°, I = 96, (3 0 0)
47.14°, I = 34, (2 2 2)
59.12°, I = 35, (4 1 2)
60.07°, I = 18, (3 3 0)
63.60°, I = 30, (3 0 4)